1.
Diffraction record for TiGaSb. The powder XRD pattern is computed, not measured: it uses the PBE geometry in Alexandria and CuKα.
Peak positions follow from Bragg's law for the DFT cell and can differ from measured ones.

Peak list (6 most intense, 10 to 90 degrees two-theta, in order of rising 2θ)
25.5°, I = 49
26.4°, I = 21
35.8°, I = 73
40.2°, I = 100
51.5°, I = 25
67.3°, I = 41

Atomic structure:
a b c (Å): 10.4313 10.4313 10.4313
angles (deg): 160.41 160.41 27.84
Fractional coordinates of all 6 atoms:
Ti 0.1394 0.1394 0.0000
Ti 0.8606 0.8606 0.0000
Ga 0.2792 0.2792 0.0000
Ga 0.7208 0.7208 0.0000
Sb 0.4249 0.4249 0.0000
Sb 0.5751 0.5751 0.0000


2.
Diffraction record for Cr2FeNi7. The powder XRD pattern is computed, not measured: it uses the PBE geometry in Alexandria and CuKα.
Peak positions follow from Bragg's law for the DFT cell and can differ from measured ones.

Peak list (6 most intense, 10 to 90 degrees two-theta, in order of rising 2θ)
35.2°, I = 41
39.8°, I = 42
46.3°, I = 100
48.0°, I = 49
51.8°, I = 44
52.9°, I = 32

Atomic structure:
a b c (Å): 7.8537 7.8537 2.4105
angles (deg): 90.00 90.00 122.31
Fractional coordinates of all 10 atoms:
Cr 0.1743 0.8257 0.0000
Cr 0.8257 0.1743 0.0000
Fe 0.5000 0.5000 0.5000
Ni 0.0000 0.0000 0.0000
Ni 0.1700 0.3593 0.0000
Ni 0.3211 0.6789 0.5000
Ni 0.3593 0.1700 0.0000
Ni 0.6407 0.8300 0.0000
Ni 0.6789 0.3211 0.5000
Ni 0.8300 0.6407 0.0000


3.
Diffraction record for SiH. The powder XRD pattern is computed, not measured: it uses the PBE geometry in Alexandria and CuKα.
Peak positions follow from Bragg's law for the DFT cell and can differ from measured ones.

Peak list (6 most intense, 10 to 90 degrees two-theta, in order of rising 2θ)
16.3°, I = 100
26.7°, I = 13
27.3°, I = 16
29.7°, I = 34
40.3°, I = 18
47.5°, I = 13

Atomic structure:
a b c (Å): 3.8722 3.8722 5.5856
angles (deg): 101.44 101.44 60.13
Fractional coordinates of all 4 atoms:
Si 0.1795 0.1795 0.0663
Si 0.8205 0.8205 0.9337
H 0.2320 0.2320 0.3424
H 0.7680 0.7680 0.6576


4.
Diffraction record for MgTiCuP3O12. The powder XRD pattern is computed, not measured: it uses the PBE geometry in Alexandria and CuKα.
Peak positions follow from Bragg's law for the DFT cell and can differ from measured ones.

Peak list (6 most intense, 10 to 90 degrees two-theta, in order of rising 2θ)
20.7°, I = 52
21.0°, I = 30
24.4°, I = 100
33.4°, I = 47
36.2°, I = 27
47.9°, I = 23

Atomic structure:
a b c (Å): 8.4767 8.4767 8.4767
angles (deg): 60.98 60.98 60.98
Fractional coordinates of all 36 atoms:
Mg 0.0000 0.0000 0.0000
Mg 0.5000 0.5000 0.5000
Ti 0.3535 0.3535 0.3535
Ti 0.8535 0.8535 0.8535
Cu 0.1401 0.1401 0.1401
Cu 0.6401 0.6401 0.6401
P 0.0405 0.4523 0.7453
P 0.2453 0.9523 0.5405
P 0.4523 0.7453 0.0405
P 0.5405 0.2453 0.9523
P 0.7453 0.0405 0.4523
P 0.9523 0.5405 0.2453
O 0.0453 0.2590 0.9100
O 0.0900 0.9366 0.7424
O 0.1187 0.4936 0.3089
O 0.1671 0.9924 0.3926
O 0.2424 0.4366 0.5900
O 0.2590 0.9100 0.0453
O 0.3089 0.1187 0.4936
O 0.3926 0.1671 0.9924
O 0.4100 0.7590 0.5453
O 0.4366 0.5900 0.2424
O 0.4924 0.6671 0.8926
O 0.4936 0.3089 0.1187
O 0.5453 0.4100 0.7590
O 0.5900 0.2424 0.4366
O 0.6187 0.8089 0.9936
O 0.6671 0.8926 0.4924
O 0.7424 0.0900 0.9366
O 0.7590 0.5453 0.4100
O 0.8089 0.9936 0.6187
O 0.8926 0.4924 0.6671
O 0.9100 0.0453 0.2590
O 0.9366 0.7424 0.0900
O 0.9924 0.3926 0.1671
O 0.9936 0.6187 0.8089


5.
Diffraction record for CrRu4Pt. The powder XRD pattern is computed, not measured: it uses the PBE geometry in Alexandria and CuKα.
Peak positions follow from Bragg's law for the DFT cell and can differ from measured ones.

Peak list (6 most intense, 10 to 90 degrees two-theta, in order of rising 2θ)
21.5°, I = 13
35.4°, I = 31
41.8°, I = 100
43.8°, I = 36
68.0°, I = 31
75.0°, I = 24

Atomic structure:
a b c (Å): 5.0665 5.0665 5.0665
angles (deg): 60.00 60.00 60.00
Fractional coordinates of all 6 atoms:
Cr 0.0000 0.0000 0.0000
Ru 0.3753 0.3753 0.3753
Ru 0.3753 0.3753 0.8740
Ru 0.3753 0.8740 0.3753
Ru 0.8740 0.3753 0.3753
Pt 0.7500 0.7500 0.7500


6.
Diffraction record for Pr4Nd7Dy. The powder XRD pattern is computed, not measured: it uses the PBE geometry in Alexandria and CuKα.
Peak positions follow from Bragg's law for the DFT cell and can differ from measured ones.

Peak list (6 most intense, 10 to 90 degrees two-theta, in order of rising 2θ)
28.0°, I = 36
30.0°, I = 49
30.9°, I = 100
32.5°, I = 83
49.2°, I = 37
58.7°, I = 37

Atomic structure:
a b c (Å): 6.4109 7.4148 9.1905
angles (deg): 90.06 103.49 90.01
Fractional coordinates of all 12 atoms:
Pr 0.2229 0.2517 0.1705
Pr 0.2753 0.0003 0.8317
Pr 0.7247 0.9997 0.1683
Pr 0.7771 0.7483 0.8295
Nd 0.9998 0.2519 0.5004
Nd 0.0002 0.7481 0.4996
Nd 0.2235 0.7481 0.1708
Nd 0.2784 0.5000 0.8312
Nd 0.5000 0.0000 0.5000
Nd 0.7216 0.5000 0.1688
Nd 0.7765 0.2519 0.8292
Dy 0.5000 0.5000 0.5000